For HoV2ZnO6, a crystal structure in Alexandria, relaxed with PBE+U gives the computed powder diffraction line list in this record (Cu Kα (λ = 1.5418 Å)).
Intensities are scaled so that the largest is 100.

Cell and atoms:
```
data_HoV2ZnO6
_cell_length_a 5.3004
_cell_length_b 5.5814
_cell_length_c 9.2489
_cell_angle_alpha 90.00
_cell_angle_beta 124.76
_cell_angle_gamma 90.00
_symmetry_space_group_name_H-M 'P 1'
_symmetry_Int_Tables_number 1
loop_
_symmetry_equiv_pos_as_xyz
'x,y,z'
loop_
_atom_site_label
_atom_site_type_symbol
_atom_site_fract_x
_atom_site_fract_y
_atom_site_fract_z
_atom_site_occupancy
Ho1 Ho 0.0000 0.1749 0.0000 1
Ho2 Ho 0.0000 0.8251 0.5000 1
V1 V 0.2329 0.2785 0.7498 1
V2 V 0.2329 0.7215 0.2498 1
V3 V 0.7323 0.2751 0.2487 1
V4 V 0.7323 0.7249 0.7487 1
Zn1 Zn 0.5000 0.1767 0.5024 1
Zn2 Zn 0.5000 0.8233 0.0024 1
O1 O 0.0963 0.0485 0.3054 1
O2 O 0.0963 0.9515 0.8054 1
O3 O 0.3465 0.4532 0.1949 1
O4 O 0.3465 0.5468 0.6949 1
O5 O 0.4734 0.0466 0.6938 1
O6 O 0.4734 0.9534 0.1938 1
O7 O 0.5869 0.2629 0.9961 1
O8 O 0.5869 0.7371 0.4961 1
O9 O 0.8612 0.2165 0.5010 1
O10 O 0.8612 0.7835 0.0010 1
O11 O 0.9639 0.4284 0.8031 1
O12 O 0.9639 0.5716 0.3031 1
```

Most intense lines, 10 to 80 degrees two-theta, sorted by position:
15.88 deg, intensity 16, hkl 0 1 0
19.74 deg, intensity 16, hkl 0 1 1
20.43 deg, intensity 18, hkl 1 0 0
28.42 deg, intensity 15, hkl 0 1 2
32.07 deg, intensity 16, hkl 0 2 0
33.16 deg, intensity 100, hkl 1 1 1
33.82 deg, intensity 27, hkl 2 0 -2
36.38 deg, intensity 23, hkl 1 2 -1
43.72 deg, intensity 16, hkl 1 2 -3
47.30 deg, intensity 17, hkl 2 2 -2
47.89 deg, intensity 16, hkl 0 0 4
60.01 deg, intensity 18, hkl 3 1 -1